Structure and calculated PXRD pattern of Rb3CaGe2O6 (a structure optimized by DFT (PBE); Cu Kα (weighted mean of Kα1 and Kα2)).
Kinematic intensities with the Lorentz-polarization factor, no thermal factor.

Largest 6 diffraction maxima, sorted by position, 10° ≤ 2θ ≤ 90°:
2θ 23.6, rel. 20
2θ 28.7, rel. 100
2θ 28.9, rel. 83
2θ 41.2, rel. 47
2θ 51.0, rel. 51
2θ 59.5, rel. 20

Crystal structure
Cell: 6.2107 6.2107 7.5478 Å, 90.00 90.00 120.00°
Sites, in units of the cell vectors:
Rb 0.0000 0.0000 0.0000
Rb 0.3333 0.6667 0.7067
Rb 0.6667 0.3333 0.2933
Ca 0.0000 0.0000 0.5000
Ge 0.3333 0.6667 0.2610
Ge 0.6667 0.3333 0.7390
O 0.1743 0.3486 0.3044
O 0.1743 0.8257 0.3044
O 0.3486 0.1743 0.6956
O 0.6514 0.8257 0.3044
O 0.8257 0.1743 0.6956
O 0.8257 0.6514 0.6956


Structure and calculated PXRD pattern of Y4SeS3 (a structure optimized by DFT (PBE); Cu Kα (weighted mean of Kα1 and Kα2)).
Kinematic intensities with the Lorentz-polarization factor, no thermal factor.

Largest 6 diffraction maxima, sorted by position, 10° ≤ 2θ ≤ 90°:
2θ 27.1, rel. 20
2θ 31.3, rel. 77
2θ 33.3, rel. 100
2θ 46.3, rel. 88
2θ 75.1, rel. 22
2θ 85.8, rel. 19

Crystal structure
Cell: 3.9229 3.9229 26.4860 Å, 90.00 90.00 120.00°
Sites, in units of the cell vectors:
Y 0.0000 0.0000 0.1784
Y 0.0000 0.0000 0.3216
Y 0.0000 0.0000 0.6784
Y 0.0000 0.0000 0.8216
Y 0.3333 0.6667 0.0633
Y 0.3333 0.6667 0.4367
Y 0.6667 0.3333 0.5633
Y 0.6667 0.3333 0.9367
Se 0.3333 0.6667 0.2500
Se 0.6667 0.3333 0.7500
S 0.0000 0.0000 0.0000
S 0.0000 0.0000 0.5000
S 0.3333 0.6667 0.6209
S 0.3333 0.6667 0.8791
S 0.6667 0.3333 0.1209
S 0.6667 0.3333 0.3791


Structure and calculated PXRD pattern of Ta6Nb3Ir (a structure optimized by DFT (PBE); Cu Kα (weighted mean of Kα1 and Kα2)).
Kinematic intensities with the Lorentz-polarization factor, no thermal factor.

Largest 6 diffraction maxima, sorted by position, 10° ≤ 2θ ≤ 90°:
2θ 38.6, rel. 35
2θ 38.6, rel. 68
2θ 38.9, rel. 100
2θ 55.9, rel. 35
2θ 69.8, rel. 12
2θ 70.0, rel. 30

Crystal structure
Cell: 8.0688 4.6696 9.7984 Å, 90.00 105.78 90.00°
Sites, in units of the cell vectors:
Ta 0.0484 0.2500 0.3973
Ta 0.1498 0.7500 0.1956
Ta 0.2555 0.2500 0.9984
Ta 0.3515 0.2500 0.2992
Ta 0.3527 0.7500 0.8054
Ta 0.4491 0.2500 0.6024
Ta 0.5509 0.7500 0.3976
Ta 0.6473 0.2500 0.1946
Ta 0.6485 0.7500 0.7008
Ta 0.7445 0.7500 0.0016
Ta 0.8502 0.2500 0.8044
Ta 0.9516 0.7500 0.6027
Nb 0.0489 0.7500 0.8994
Nb 0.1510 0.2500 0.7005
Nb 0.2537 0.7500 0.5017
Nb 0.7463 0.2500 0.4983
Nb 0.8490 0.7500 0.2995
Nb 0.9511 0.2500 0.1006
Ir 0.4497 0.7500 0.1004
Ir 0.5503 0.2500 0.8996